# SrV2SbO8
Calculated powder diffraction line list, λ = 1.5418 Å (Cu Kα). Input: a structure optimized by DFT (GGA+U).

Crystal structure
Lattice parameters (Å, degrees): 5.283 5.283 7.450 91.05 91.05 67.27
Positions (direct):
Sr  0.000  0.000  0.000
V  0.366  0.366  0.722
V  0.634  0.634  0.278
Sb  0.000  0.000  0.500
O  0.219  0.735  0.707
O  0.233  0.233  0.546
O  0.265  0.781  0.293
O  0.282  0.282  0.923
O  0.718  0.718  0.077
O  0.735  0.219  0.707
O  0.767  0.767  0.454
O  0.781  0.265  0.293

Peak list (6 most intense, 10 to 90 degrees two-theta, by angle)
2θ/deg	I/Imax
18.2	82
20.2	65
30.0	100
30.4	76
30.6	57
34.2	79